This entry pairs a crystal structure of FeCuOs2 with its computed X-ray diffraction stick pattern. Radiation: Cu Kα (weighted mean of Kα1 and Kα2). Structure: a structure optimized by DFT (PBE).

Structure:
Cell lengths 2.751, 4.492, 8.880 Å; angles 90.00, 90.00, 90.00 degrees
Space group Cmm2 (No. 35)
Inequivalent atoms, fractional coordinates:
1 Fe 0.000 0.000 0.000 [2 per cell]
2 Cu 0.000 0.500 0.237 [2 per cell]
3 Os 0.000 0.000 0.494 [2 per cell]
4 Os 0.000 0.500 0.756 [2 per cell]

Most intense lines, 2θ from 15° to 90°, low angle first:
d = 2.960 Å, intensity 12, (0 0 3)
d = 2.268 Å, intensity 18, (1 1 1)
d = 2.246 Å, intensity 32, (0 2 0)
d = 2.220 Å, intensity 30, (0 0 4)
d = 2.074 Å, intensity 100, (1 1 2)
d = 1.579 Å, intensity 20, (0 2 4)
d = 1.416 Å, intensity 7, (1 1 5)
d = 1.375 Å, intensity 7, (2 0 0)
d = 1.261 Å, intensity 20, (1 3 2)
d = 1.252 Å, intensity 18, (1 1 6)
d = 1.173 Å, intensity 8, (2 2 0)
d = 1.169 Å, intensity 8, (2 0 4)